Simulated X-ray powder pattern of K2SrCdBiSb for Cu Kα, 1.54184 Å, from a PBE-relaxed structure.
Peak positions follow from Bragg's law for the DFT cell and can differ from measured ones.

Structure:
a b c (Å): 5.023 10.044 8.406
angles (deg): 90.00 90.00 90.00
Space group Pmc2_1 (No. 26)
One atom of each set of equivalent atoms:
K (0.000, 0.082, 0.000) x2
K (0.500, 0.160, 0.675) x2
Sr (0.500, 0.453, 0.031) x2
Cd (0.000, 0.320, 0.371) x2
Bi (0.000, 0.389, 0.744) x2
Sb (0.500, 0.183, 0.272) x2

Top 12 peaks for 2θ from 10° to 80°, in order of rising 2θ:
Position (°2θ), intensity, h k l
20.60, 34, 0 2 1
22.44, 36, 1 1 1
27.26, 42, 1 2 1
27.67, 32, 0 2 2
28.70, 30, 0 3 1
29.09, 100, 1 1 2
32.13, 61, 1 3 0
35.75, 54, 2 0 0
36.73, 31, 0 2 3
37.84, 34, 1 1 3
41.62, 34, 1 4 1
52.19, 34, 2 2 3